(1)
K3Tc2Cl2O5: theoretical XRD peak list (copper Kα), based on a crystal structure in Alexandria, relaxed with GGA-PBE.
Neutral-atom scattering factors, no anomalous dispersion.

Most intense lines, 10 to 80 degrees two-theta, in order of rising 2θ:
d = 6.059 Å, 2θ 14.6, rel. 28; d = 3.943 Å, 2θ 22.5, rel. 72; d = 3.084 Å, 2θ 29.0, rel. 48; d = 2.826 Å, 2θ 31.7, rel. 92; d = 2.617 Å, 2θ 34.3, rel. 100; d = 1.998 Å, 2θ 45.4, rel. 59; d = 1.588 Å, 2θ 58.1, rel. 41; d = 1.420 Å, 2θ 65.7, rel. 24

Crystal structure
Lattice parameters (Å, degrees): 12.4431 12.4431 12.4431 161.52 161.52 26.25
Atoms (fractional coordinates):
K 0.0000 0.0000 0.0000
K 0.1657 0.1657 0.0000
K 0.8343 0.8343 0.0000
Tc 0.4204 0.4204 0.0000
Tc 0.5796 0.5796 0.0000
Cl 0.3123 0.3123 0.0000
Cl 0.6877 0.6877 0.0000
O 0.0834 0.5834 0.5000
O 0.4166 0.9166 0.5000
O 0.5000 0.5000 0.0000
O 0.5834 0.0834 0.5000
O 0.9166 0.4166 0.5000

(2)
KTeClO: theoretical XRD peak list (copper Kα), based on a crystal structure in Alexandria, relaxed with GGA-PBE.
Neutral-atom scattering factors, no anomalous dispersion.

Most intense lines, 10 to 80 degrees two-theta, in order of rising 2θ:
d = 7.924 Å, 2θ 11.2, rel. 84; d = 3.535 Å, 2θ 25.2, rel. 53; d = 3.343 Å, 2θ 26.7, rel. 57; d = 3.228 Å, 2θ 27.6, rel. 100; d = 2.878 Å, 2θ 31.1, rel. 55; d = 2.864 Å, 2θ 31.2, rel. 53; d = 2.640 Å, 2θ 34.0, rel. 49; d = 2.429 Å, 2θ 37.0, rel. 92

Crystal structure
Lattice parameters (Å, degrees): 3.4204 3.5347 8.0971 90.00 101.87 90.00
Atoms (fractional coordinates):
K 0.0000 0.0000 0.0000
Te 0.2914 0.5000 0.5724
Cl 0.6203 0.5000 0.2475
O 0.4086 0.5000 0.8113

(3)
K3Tl2Cl2O4: theoretical XRD peak list (copper Kα), based on a crystal structure in Alexandria, relaxed with GGA-PBE.
Neutral-atom scattering factors, no anomalous dispersion.

Most intense lines, 10 to 80 degrees two-theta, in order of rising 2θ:
d = 6.287 Å, 2θ 14.1, rel. 49; d = 4.265 Å, 2θ 20.8, rel. 98; d = 3.281 Å, 2θ 27.2, rel. 100; d = 3.060 Å, 2θ 29.2, rel. 78; d = 2.764 Å, 2θ 32.4, rel. 75; d = 2.164 Å, 2θ 41.7, rel. 45; d = 1.806 Å, 2θ 50.5, rel. 38; d = 1.704 Å, 2θ 53.8, rel. 34

Crystal structure
Lattice parameters (Å, degrees): 12.9413 12.9413 12.9413 160.75 160.75 27.36
Atoms (fractional coordinates):
K 0.0000 0.0000 0.0000
K 0.1671 0.1671 0.0000
K 0.8329 0.8329 0.0000
Tl 0.4109 0.4109 0.0000
Tl 0.5891 0.5891 0.0000
Cl 0.3026 0.3026 0.0000
Cl 0.6974 0.6974 0.0000
O 0.0767 0.5767 0.5000
O 0.4233 0.9233 0.5000
O 0.5767 0.0767 0.5000
O 0.9233 0.4233 0.5000

(4)
KZnCl3O2: theoretical XRD peak list (copper Kα), based on a crystal structure in Alexandria, relaxed with GGA-PBE.
Neutral-atom scattering factors, no anomalous dispersion.

Most intense lines, 10 to 80 degrees two-theta, in order of rising 2θ:
d = 8.018 Å, 2θ 11.0, rel. 100; d = 6.180 Å, 2θ 14.3, rel. 35; d = 5.145 Å, 2θ 17.2, rel. 48; d = 4.201 Å, 2θ 21.2, rel. 37; d = 3.319 Å, 2θ 26.9, rel. 29; d = 3.201 Å, 2θ 27.9, rel. 61; d = 2.793 Å, 2θ 32.0, rel. 29; d = 2.349 Å, 2θ 38.3, rel. 33

Crystal structure
Lattice parameters (Å, degrees): 6.2415 11.2250 11.5713 90.00 98.06 90.00
Atoms (fractional coordinates):
K 0.0936 0.1808 0.3175
K 0.0936 0.3192 0.8175
K 0.9064 0.6808 0.1825
K 0.9064 0.8192 0.6825
Zn 0.4780 0.6049 0.8976
Zn 0.4780 0.8951 0.3976
Zn 0.5220 0.1049 0.6024
Zn 0.5220 0.3951 0.1024
Cl 0.2048 0.5925 0.7524
Cl 0.2048 0.9075 0.2524
Cl 0.2675 0.2454 0.5843
Cl 0.2675 0.2546 0.0843
Cl 0.3605 0.5895 0.0852
Cl 0.3605 0.9105 0.5852
Cl 0.6395 0.0895 0.4148
Cl 0.6395 0.4105 0.9148
Cl 0.7325 0.7454 0.9157
Cl 0.7325 0.7546 0.4157
Cl 0.7952 0.0925 0.7476
Cl 0.7952 0.4075 0.2476
O 0.2414 0.5745 0.4013
O 0.2414 0.9255 0.9013
O 0.3265 0.0233 0.8919
O 0.3265 0.4767 0.3919
O 0.6735 0.5233 0.6081
O 0.6735 0.9767 0.1081
O 0.7586 0.0745 0.0987
O 0.7586 0.4255 0.5987

(5)
K4Os2Cl: theoretical XRD peak list (copper Kα), based on a crystal structure in Alexandria, relaxed with GGA-PBE.
Neutral-atom scattering factors, no anomalous dispersion.

Most intense lines, 10 to 80 degrees two-theta, in order of rising 2θ:
d = 7.589 Å, 2θ 11.7, rel. 49; d = 5.900 Å, 2θ 15.0, rel. 100; d = 4.528 Å, 2θ 19.6, rel. 67; d = 3.202 Å, 2θ 27.9, rel. 56; d = 2.814 Å, 2θ 31.8, rel. 35; d = 2.743 Å, 2θ 32.6, rel. 31; d = 2.264 Å, 2θ 39.8, rel. 21; d = 2.083 Å, 2θ 43.4, rel. 28

Crystal structure
Lattice parameters (Å, degrees): 8.8368 8.8368 8.8368 137.51 137.51 61.65
Atoms (fractional coordinates):
K 0.0000 0.5000 0.5000
K 0.1969 0.1969 0.0000
K 0.5000 0.0000 0.5000
K 0.8031 0.8031 0.0000
Os 0.4258 0.4258 0.0000
Os 0.5742 0.5742 0.0000
Cl 0.0000 0.0000 0.0000

(6)
K2TlOsCl8: theoretical XRD peak list (copper Kα), based on a crystal structure in Alexandria, relaxed with GGA-PBE.
Neutral-atom scattering factors, no anomalous dispersion.

Most intense lines, 10 to 80 degrees two-theta, in order of rising 2θ:
d = 6.809 Å, 2θ 13.0, rel. 99; d = 6.513 Å, 2θ 13.6, rel. 84; d = 4.802 Å, 2θ 18.5, rel. 100; d = 4.617 Å, 2θ 19.2, rel. 68; d = 3.774 Å, 2θ 23.6, rel. 45; d = 3.721 Å, 2θ 23.9, rel. 81; d = 3.297 Å, 2θ 27.0, rel. 66; d = 2.492 Å, 2θ 36.0, rel. 52

Crystal structure
Lattice parameters (Å, degrees): 6.5178 6.8143 9.0690 89.97 89.96 87.75
Atoms (fractional coordinates):
K 0.0007 0.9998 0.2385
K 0.9993 0.0002 0.7615
Tl 0.5000 0.5000 0.5000
Os 0.5000 0.5000 0.0000
Cl 0.2137 0.8174 0.5003
Cl 0.2864 0.3836 0.8150
Cl 0.2859 0.3845 0.1854
Cl 0.3153 0.8002 0.9994
Cl 0.6847 0.1998 0.0006
Cl 0.7141 0.6155 0.8146
Cl 0.7136 0.6164 0.1850
Cl 0.7863 0.1826 0.4997

(7)
KPCl: theoretical XRD peak list (copper Kα), based on a crystal structure in Alexandria, relaxed with GGA-PBE.
Neutral-atom scattering factors, no anomalous dispersion.

Most intense lines, 10 to 80 degrees two-theta, in order of rising 2θ:
d = 4.415 Å, 2θ 20.1, rel. 37; d = 3.824 Å, 2θ 23.3, rel. 9; d = 2.704 Å, 2θ 33.1, rel. 100; d = 2.306 Å, 2θ 39.1, rel. 18; d = 1.912 Å, 2θ 47.6, rel. 16; d = 1.561 Å, 2θ 59.2, rel. 31; d = 1.352 Å, 2θ 69.5, rel. 9; d = 1.209 Å, 2θ 79.2, rel. 13

Crystal structure
Lattice parameters (Å, degrees): 5.4078 5.4078 5.4078 60.00 60.00 60.00
Atoms (fractional coordinates):
K 0.0000 0.0000 0.0000
P 0.7500 0.7500 0.7500
Cl 0.2500 0.2500 0.2500

What did the fifth record say?
K4Os2Cl: theoretical XRD peak list (copper Kα), based on a crystal structure in Alexandria, relaxed with GGA-PBE.
Neutral-atom scattering factors, no anomalous dispersion.

Most intense lines, 10 to 80 degrees two-theta, in order of rising 2θ:
d = 7.589 Å, 2θ 11.7, rel. 49; d = 5.900 Å, 2θ 15.0, rel. 100; d = 4.528 Å, 2θ 19.6, rel. 67; d = 3.202 Å, 2θ 27.9, rel. 56; d = 2.814 Å, 2θ 31.8, rel. 35; d = 2.743 Å, 2θ 32.6, rel. 31; d = 2.264 Å, 2θ 39.8, rel. 21; d = 2.083 Å, 2θ 43.4, rel. 28

Crystal structure
Lattice parameters (Å, degrees): 8.8368 8.8368 8.8368 137.51 137.51 61.65
Atoms (fractional coordinates):
K 0.0000 0.5000 0.5000
K 0.1969 0.1969 0.0000
K 0.5000 0.0000 0.5000
K 0.8031 0.8031 0.0000
Os 0.4258 0.4258 0.0000
Os 0.5742 0.5742 0.0000
Cl 0.0000 0.0000 0.0000